Calculated powder XRD pattern
Compound: RbVBP2HO9
Radiation: λ = 1.5418 Å (Cu Kα)
Structure: a cell relaxed with GGA+U

Most intense lines, 2θ from 15° to 90°, sorted by position:
| index | 2θ (°) | Rel. int. |
| --- | --- | --- |
| 1 0 -2 | 18.79 | 37 |
| 0 1 2 | 21.21 | 23 |
| 1 2 0 | 22.87 | 22 |
| 2 0 -2 | 23.42 | 33 |
| 1 2 1 | 25.50 | 100 |
| 1 1 -3 | 29.30 | 48 |
| 2 0 2 | 29.53 | 25 |
| 3 1 -1 | 30.03 | 30 |
| 2 2 1 | 31.17 | 35 |
| 3 1 -2 | 32.33 | 21 |

Cell and atoms:
```
data_RbVBP2HO9
_symmetry_space_group_name_H-M 'P 1 21/c 1'
_symmetry_Int_Tables_number 14
_symmetry_space_group_name_Hall '-P 2ybc'
_cell_length_a 9.573
_cell_length_b 8.556
_cell_length_c 9.858
_cell_angle_alpha 90.00
_cell_angle_beta 102.94
_cell_angle_gamma 90.00
loop_
_atom_site_label
_atom_site_type_symbol
_atom_site_fract_x
_atom_site_fract_y
_atom_site_fract_z
Rb1 Rb 0.190 0.104 0.068
V1 V 0.205 0.656 0.940
B1 B 0.337 0.052 0.699
P1 P 0.075 0.562 0.212
P2 P 0.420 0.737 0.724
H1 H 0.396 0.070 0.509
O1 O 0.069 0.522 0.805
O2 O 0.084 0.664 0.085
O3 O 0.099 0.653 0.350
O4 O 0.196 0.069 0.732
O5 O 0.311 0.044 0.543
O6 O 0.351 0.635 0.818
O7 O 0.354 0.711 0.569
O8 O 0.416 0.197 0.748
O9 O 0.419 0.586 0.265
```